Diffraction record for CaCu2O4. The powder diffractogram is simulated, not measured: it uses a crystal structure in the Materials Project, relaxed with PBE and Cu Ka.

Structure:
```
data_CaCu2O4
_space_group_name_H-M_alt 'C 1 2/m 1'
_space_group_IT_number 12
_cell_length_a 14.1394
_cell_length_b 3.0067
_cell_length_c 8.8915
_cell_angle_alpha 90.00
_cell_angle_beta 118.11
_cell_angle_gamma 90.00
loop_
_space_group_symop_operation_xyz
'x,y,z'
'-x,-y,-z'
'-x,y,-z'
'x,-y,z'
'x+1/2,y+1/2,z'
'-x+1/2,-y+1/2,-z'
'-x+1/2,y+1/2,-z'
'x+1/2,-y+1/2,z'
loop_
_atom_site_label
_atom_site_type_symbol
_atom_site_fract_x
_atom_site_fract_y
_atom_site_fract_z
Ca1 Ca 0.1479 0.0000 0.1627
Cu1 Cu 0.0946 0.0000 0.7934
Cu2 Cu 0.1550 0.5000 0.4946
O1 O 0.0694 0.0000 0.3574
O2 O 0.0997 0.5000 0.9421
O3 O 0.1251 0.5000 0.6920
O4 O 0.2400 0.5000 0.3708
```

Largest 10 diffraction maxima, sorted by position, 10 to 90 degrees two-theta:
2θ (°), I/Imax, index
11.28, 60, 0 0 1
22.00, 41, 2 0 1
28.63, 100, 4 0 0
32.73, 52, 4 0 -3
34.30, 32, 0 0 3
35.44, 56, 3 1 -1
40.48, 51, 1 1 2
49.18, 40, 3 1 2
51.10, 41, 3 1 -4
59.63, 32, 7 1 -4

---

Diffraction record for CaCuO2. The powder diffractogram is simulated, not measured: it uses a crystal structure in the Materials Project, relaxed with PBE and Cu Ka.

Structure:
```
data_CaCuO2
_space_group_name_H-M_alt 'P -1'
_space_group_IT_number 2
_cell_length_a 3.0384
_cell_length_b 8.2479
_cell_length_c 8.6025
_cell_angle_alpha 85.21
_cell_angle_beta 89.47
_cell_angle_gamma 80.31
loop_
_space_group_symop_operation_xyz
'x,y,z'
'-x,-y,-z'
loop_
_atom_site_label
_atom_site_type_symbol
_atom_site_fract_x
_atom_site_fract_y
_atom_site_fract_z
Ca1 Ca 0.1623 0.1881 0.4543
Ca2 Ca 0.2869 0.9191 0.1789
Cu1 Cu 0.0557 0.4485 0.6878
Cu2 Cu 0.3865 0.7279 0.8948
O1 O 0.1610 0.1762 0.0019
O2 O 0.2643 0.9734 0.6592
O3 O 0.3826 0.6904 0.3643
O4 O 0.4833 0.5939 0.7309
```

Largest 10 diffraction maxima, sorted by position, 10 to 90 degrees two-theta:
2θ (°), I/Imax, index
24.29, 36, 0 1 -2
31.62, 100, 0 2 -2
32.34, 49, 0 1 3
33.96, 29, 0 3 1
35.57, 19, 1 -1 1
36.24, 14, 1 2 -1
39.27, 61, 1 2 2
44.78, 16, -1 2 2
60.20, 16, 0 4 4
61.01, 18, 2 1 0

---

Diffraction record for CaCu2O4. The powder diffractogram is simulated, not measured: it uses a crystal structure in the Materials Project, relaxed with PBE and Cu Ka.

Structure:
```
data_CaCu2O4
_space_group_name_H-M_alt 'P m m n'
_space_group_IT_number 59
_cell_length_a 5.9137
_cell_length_b 10.9793
_cell_length_c 5.1436
_cell_angle_alpha 90.00
_cell_angle_beta 90.00
_cell_angle_gamma 90.00
loop_
_space_group_symop_operation_xyz
'x,y,z'
'-x,-y,-z'
'-x+1/2,-y+1/2,z'
'x+1/2,y+1/2,-z'
'x+1/2,-y,-z'
'-x+1/2,y,z'
'-x,y+1/2,-z'
'x,-y+1/2,z'
loop_
_atom_site_label
_atom_site_type_symbol
_atom_site_fract_x
_atom_site_fract_y
_atom_site_fract_z
Ca1 Ca 0.2500 0.2500 0.0337
Ca2 Ca 0.2500 0.7500 0.3552
Cu1 Cu 0.0000 0.0000 0.5000
Cu2 Cu 0.2500 0.5101 0.9946
O1 O 0.0038 0.1035 0.8350
O2 O 0.2500 0.0891 0.3243
O3 O 0.2500 0.5979 0.6605
```

Largest 10 diffraction maxima, sorted by position, 10 to 90 degrees two-theta:
2θ (°), I/Imax, index
16.15, 100, 0 2 0
32.62, 21, 0 4 0
34.89, 15, 0 0 2
35.00, 27, 2 0 1
38.66, 21, 0 2 2
38.77, 46, 2 2 1
43.04, 17, 0 3 2
48.57, 70, 0 4 2
62.32, 23, 2 6 1
62.63, 18, 2 0 3

---

Diffraction record for CaCu2O4. The powder diffractogram is simulated, not measured: it uses a crystal structure in the Materials Project, relaxed with PBE and Cu Ka.

Structure:
```
data_CaCu2O4
_space_group_name_H-M_alt 'C 1 m 1'
_space_group_IT_number 8
_cell_length_a 10.9671
_cell_length_b 6.1022
_cell_length_c 21.1226
_cell_angle_alpha 90.00
_cell_angle_beta 104.03
_cell_angle_gamma 90.00
loop_
_space_group_symop_operation_xyz
'x,y,z'
'x,-y,z'
'x+1/2,y+1/2,z'
'x+1/2,-y+1/2,z'
loop_
_atom_site_label
_atom_site_type_symbol
_atom_site_fract_x
_atom_site_fract_y
_atom_site_fract_z
Ca1 Ca 0.0000 0.0000 0.0000
Ca2 Ca 0.0060 0.5000 0.1016
Ca3 Ca 0.1115 0.5000 0.3702
Ca4 Ca 0.2292 0.0000 0.7450
Ca5 Ca 0.2538 0.5000 0.2447
Ca6 Ca 0.2623 0.5000 0.8397
Ca7 Ca 0.3806 0.0000 0.6271
Ca8 Ca 0.4879 0.0000 0.4960
Cu1 Cu 0.0176 0.0000 0.5876
Cu2 Cu 0.1219 0.0000 0.8743
Cu3 Cu 0.2274 0.0000 0.1465
Cu4 Cu 0.2410 0.2465 0.5005
Cu5 Cu 0.2446 0.2513 0.9943
Cu6 Cu 0.2462 0.0000 0.3454
Cu7 Cu 0.2782 0.5000 0.6414
Cu8 Cu 0.3702 0.5000 0.1177
Cu9 Cu 0.4749 0.5000 0.4400
Cu10 Cu 0.4796 0.0000 0.9037
Cu11 Cu 0.4847 0.2555 0.7542
Cu12 Cu 0.4985 0.2558 0.2436
O1 O 0.0373 0.0000 0.6771
O2 O 0.0419 0.5000 0.2082
O3 O 0.0447 0.5000 0.7186
O4 O 0.0569 0.0000 0.1504
O5 O 0.0785 0.2417 0.4451
O6 O 0.0879 0.2258 0.9323
O7 O 0.1428 0.2113 0.8128
O8 O 0.1591 0.2452 0.3003
O9 O 0.1723 0.0000 0.5645
O10 O 0.1952 0.5000 0.0764
O11 O 0.1977 0.5000 0.5531
O12 O 0.2124 0.0000 0.0423
O13 O 0.2780 0.0000 0.4475
O14 O 0.2857 0.5000 0.9491
O15 O 0.3116 0.5000 0.4384
O16 O 0.3253 0.2565 0.6945
O17 O 0.3346 0.0000 0.9316
O18 O 0.3416 0.2576 0.1792
O19 O 0.3957 0.2806 0.0546
O20 O 0.4006 0.0000 0.3301
O21 O 0.4086 0.2552 0.5538
O22 O 0.4311 0.0000 0.8141
O23 O 0.4345 0.5000 0.7956
O24 O 0.4598 0.5000 0.2849
```

Largest 10 diffraction maxima, sorted by position, 10 to 90 degrees two-theta:
2θ (°), I/Imax, index
16.81, 83, 2 0 -2
28.52, 46, 3 1 -1
32.60, 55, 3 1 -5
33.13, 62, 1 1 -7
33.95, 71, 2 2 -2
34.21, 100, 0 2 4
34.48, 84, 2 0 6
40.52, 65, 2 2 -6
59.02, 46, 6 2 -2
60.37, 50, 2 2 10

---

Diffraction record for CaCu2O4. The powder diffractogram is simulated, not measured: it uses a crystal structure in the Materials Project, relaxed with PBE and Cu Ka.

Structure:
```
data_CaCu2O4
_space_group_name_H-M_alt 'I 41/a m d'
_space_group_IT_number 141
_cell_length_a 5.5327
_cell_length_b 5.5327
_cell_length_c 12.8009
_cell_angle_alpha 90.00
_cell_angle_beta 90.00
_cell_angle_gamma 90.00
loop_
_space_group_symop_operation_xyz
'x,y,z'
'-x,-y,-z'
'-y+1/4,x+3/4,z+1/4'
'y+1/4,-x+3/4,-z+1/4'
'-x+1/2,-y,z+1/2'
'x+1/2,y,-z+1/2'
'y+1/4,-x+1/4,z+3/4'
'-y+1/4,x+1/4,-z+3/4'
'x,-y,-z'
'-x,y,z'
'-y+1/4,-x+1/4,-z+3/4'
'y+1/4,x+1/4,z+3/4'
'-x+1/2,y,-z+1/2'
'x+1/2,-y,z+1/2'
'y+1/4,x+3/4,-z+1/4'
'-y+1/4,-x+3/4,z+1/4'
'x+1/2,y+1/2,z+1/2'
'-x+1/2,-y+1/2,-z+1/2'
'-y+3/4,x+1/4,z+3/4'
'y+3/4,-x+1/4,-z+3/4'
'-x,-y+1/2,z'
'x,y+1/2,-z'
'y+3/4,-x+3/4,z+1/4'
'-y+3/4,x+3/4,-z+1/4'
'x+1/2,-y+1/2,-z+1/2'
'-x+1/2,y+1/2,z+1/2'
'-y+3/4,-x+3/4,-z+1/4'
'y+3/4,x+3/4,z+1/4'
'-x,y+1/2,-z'
'x,-y+1/2,z'
'y+3/4,x+1/4,-z+3/4'
'-y+3/4,-x+1/4,z+3/4'
loop_
_atom_site_label
_atom_site_type_symbol
_atom_site_fract_x
_atom_site_fract_y
_atom_site_fract_z
Ca1 Ca 0.0000 0.2500 0.3750
Cu1 Cu 0.0000 0.0000 0.0000
O1 O 0.0000 0.0294 0.7546
```

Largest 10 diffraction maxima, sorted by position, 10 to 90 degrees two-theta:
2θ (°), I/Imax, index
17.46, 53, 1 0 1
26.38, 100, 1 0 3
26.71, 17, 1 1 2
27.88, 56, 0 0 4
35.35, 24, 2 0 2
37.00, 67, 2 1 1
38.76, 40, 1 0 5
46.42, 23, 2 2 0
55.02, 61, 2 2 4
60.79, 21, 3 2 1

---

Diffraction record for Ca2CuO3. The powder diffractogram is simulated, not measured: it uses a crystal structure in the Materials Project, relaxed with PBE and Cu Ka.

Structure:
```
data_Ca2CuO3
_space_group_name_H-M_alt 'I m m m'
_space_group_IT_number 71
_space_group_name_Hall '-I 2 2'
_cell_length_a 3.2898
_cell_length_b 3.8322
_cell_length_c 12.1838
_cell_angle_alpha 90.00
_cell_angle_beta 90.00
_cell_angle_gamma 90.00
loop_
_atom_site_label
_atom_site_type_symbol
_atom_site_fract_x
_atom_site_fract_y
_atom_site_fract_z
Ca1 Ca 0.0000 0.0000 0.1492
Cu1 Cu 0.0000 0.0000 0.5000
O1 O 0.0000 0.0000 0.3394
O2 O 0.0000 0.5000 0.5000
```

Largest 10 diffraction maxima, sorted by position, 10 to 90 degrees two-theta:
2θ (°), I/Imax, index
14.54, 32, 0 0 2
28.10, 20, 1 0 1
32.11, 46, 0 1 3
35.10, 65, 1 0 3
35.98, 100, 1 1 0
44.62, 30, 0 0 6
47.45, 30, 0 2 0
55.90, 17, 2 0 0
58.60, 33, 1 1 6
60.37, 25, 1 2 3

---

Diffraction record for Ca3Cu2O6. The powder diffractogram is simulated, not measured: it uses a crystal structure in the Materials Project, relaxed with PBE and Cu Ka.

Structure:
```
data_Ca3Cu2O6
_space_group_name_H-M_alt 'C 1 m 1'
_space_group_IT_number 8
_cell_length_a 12.5961
_cell_length_b 3.7056
_cell_length_c 6.7798
_cell_angle_alpha 90.00
_cell_angle_beta 105.80
_cell_angle_gamma 90.00
loop_
_space_group_symop_operation_xyz
'x,y,z'
'x,-y,z'
'x+1/2,y+1/2,z'
'x+1/2,-y+1/2,z'
loop_
_atom_site_label
_atom_site_type_symbol
_atom_site_fract_x
_atom_site_fract_y
_atom_site_fract_z
Ca1 Ca 0.0000 0.0000 0.0000
Ca2 Ca 0.0014 0.0000 0.5198
Ca3 Ca 0.3067 0.0000 0.1667
Cu1 Cu 0.1653 0.5000 0.3554
Cu2 Cu 0.1712 0.5000 0.8334
O1 O 0.0045 0.5000 0.2728
O2 O 0.0154 0.5000 0.7560
O3 O 0.1451 0.0000 0.3141
O4 O 0.1495 0.0000 0.8530
O5 O 0.3137 0.5000 0.3852
O6 O 0.3192 0.5000 0.9539
```

Largest 10 diffraction maxima, sorted by position, 10 to 90 degrees two-theta:
2θ (°), I/Imax, index
14.62, 56, 2 0 0
27.32, 49, 0 0 2
32.80, 39, 3 1 0
34.48, 33, 4 0 -2
34.60, 33, 2 0 2
35.90, 100, 1 1 -2
44.87, 31, 6 0 0
49.18, 28, 0 2 0
58.84, 22, 5 1 2
61.48, 23, 2 2 2

---

Diffraction record for CaCu6O8. The powder diffractogram is simulated, not measured: it uses a crystal structure in the Materials Project, relaxed with PBE and Cu Ka.

Structure:
```
data_CaCu6O8
_space_group_name_H-M_alt 'F m -3 m'
_space_group_IT_number 225
_space_group_name_Hall '-F 4 2 3'
_cell_length_a 9.2778
_cell_length_b 9.2778
_cell_length_c 9.2778
_cell_angle_alpha 90.00
_cell_angle_beta 90.00
_cell_angle_gamma 90.00
loop_
_atom_site_label
_atom_site_type_symbol
_atom_site_fract_x
_atom_site_fract_y
_atom_site_fract_z
Ca1 Ca 0.0000 0.0000 0.0000
Cu1 Cu 0.0000 0.2500 0.2500
O1 O 0.1452 0.1452 0.1452
```

Largest 10 diffraction maxima, sorted by position, 10 to 90 degrees two-theta:
2θ (°), I/Imax, index
16.55, 17, 1 1 1
19.13, 25, 2 0 0
27.19, 9, 2 2 0
33.46, 100, 2 2 2
38.83, 28, 4 0 0
42.47, 8, 3 3 1
56.07, 45, 4 4 0
66.90, 36, 6 2 2
70.30, 7, 4 4 4
83.33, 6, 8 0 0